# 1
Simulated powder X-ray diffraction pattern
Compound: RbHO
Radiation: Cu Kα
Structure: a structure optimized by DFT (PBE)
Lines closer than 0.1° are merged.

Cell and atoms:
```
data_RbHO
_chemical_formula_sum 'Rb4 H4 O4'
_space_group_name_H-M_alt 'C m c 21'
_space_group_IT_number 36
_cell_length_a 4.241
_cell_length_b 11.543
_cell_length_c 4.193
_cell_angle_alpha 90.00
_cell_angle_beta 90.00
_cell_angle_gamma 90.00
loop_
_space_group_symop_operation_xyz
'x,y,z'
'-x,-y,z+1/2'
'-x,y,z'
'x,-y,z+1/2'
'x+1/2,y+1/2,z'
'-x+1/2,-y+1/2,z+1/2'
'-x+1/2,y+1/2,z'
'x+1/2,-y+1/2,z+1/2'
loop_
_atom_site_label
_atom_site_fract_x
_atom_site_fract_y
_atom_site_fract_z
_atom_site_occupancy
Rb1 0.000 0.142 0.000 1
H1 0.000 0.457 0.876 1
O1 0.000 0.390 0.018 1
```

Main lines, by angle (2θ = 15–90°):
d 3.981, 2θ = 22.33°, I 20.5, (1 1 0)
d 3.392, 2θ = 26.27°, I 40.8, (0 2 1)
d 2.887, 2θ = 30.98°, I 100.0, (0 4 0)
d 2.850, 2θ = 31.39°, I 28.1, (1 3 0)
d 2.357, 2θ = 38.18°, I 19.4, (1 3 1)
d 1.825, 2θ = 49.96°, I 23.2, (1 5 1)

# 2
Simulated powder X-ray diffraction pattern
Compound: RbHO
Radiation: Cu Kα
Structure: a structure optimized by DFT (PBE)
Lines closer than 0.1° are merged.

Cell and atoms:
```
data_RbHO
_chemical_formula_sum 'Rb2 H2 O2'
_space_group_name_H-M_alt 'P 1 21/m 1'
_space_group_IT_number 11
_cell_length_a 4.206
_cell_length_b 4.273
_cell_length_c 6.143
_cell_angle_alpha 90.00
_cell_angle_beta 104.99
_cell_angle_gamma 90.00
loop_
_space_group_symop_operation_xyz
'x,y,z'
'-x,-y,-z'
'-x,y+1/2,-z'
'x,-y+1/2,z'
loop_
_atom_site_label
_atom_site_fract_x
_atom_site_fract_y
_atom_site_fract_z
_atom_site_occupancy
Rb1 0.170 0.250 0.288 1
H1 0.463 0.250 0.908 1
O1 0.322 0.250 0.755 1
```

Main lines, by angle (2θ = 15–90°):
d 3.468, 2θ = 25.69°, I 78.3, (0 1 1)
d 3.009, 2θ = 29.69°, I 30.3, (1 0 1)
d 2.967, 2θ = 30.12°, I 53.1, (0 0 2)
d 2.945, 2θ = 30.36°, I 100.0, (1 1 0)
d 2.860, 2θ = 31.28°, I 47.9, (1 1 -1)
d 1.918, 2θ = 47.40°, I 32.5, (1 1 2)

# 3
Simulated powder X-ray diffraction pattern
Compound: RbH3O2
Radiation: Cu Kα
Structure: a structure optimized by DFT (PBE)
Lines closer than 0.1° are merged.

Cell and atoms:
```
data_RbH3O2
_chemical_formula_sum 'Rb4 H12 O8'
_space_group_name_H-M_alt 'C m c 21'
_space_group_IT_number 36
_cell_length_a 4.228
_cell_length_b 11.392
_cell_length_c 6.025
_cell_angle_alpha 90.00
_cell_angle_beta 90.00
_cell_angle_gamma 90.00
loop_
_space_group_symop_operation_xyz
'x,y,z'
'-x,-y,z+1/2'
'-x,y,z'
'x,-y,z+1/2'
'x+1/2,y+1/2,z'
'-x+1/2,-y+1/2,z+1/2'
'-x+1/2,y+1/2,z'
'x+1/2,-y+1/2,z+1/2'
loop_
_atom_site_label
_atom_site_fract_x
_atom_site_fract_y
_atom_site_fract_z
_atom_site_occupancy
Rb1 0.000 0.153 0.000 1
H1 0.000 0.488 0.238 1
H2 0.194 0.108 0.526 1
O1 0.000 0.159 0.490 1
O2 0.000 0.468 0.079 1
```

Main lines, by angle (2θ = 15–90°):
d 4.139, 2θ = 21.47°, I 58.6, (0 2 1)
d 3.964, 2θ = 22.43°, I 28.9, (1 1 0)
d 3.311, 2θ = 26.93°, I 77.2, (1 1 1)
d 3.012, 2θ = 29.66°, I 58.1, (0 0 2)
d 2.825, 2θ = 31.67°, I 100.0, (1 3 0)
d 2.061, 2θ = 43.94°, I 64.5, (1 3 2)

# 4
Simulated powder X-ray diffraction pattern
Compound: RbHO
Radiation: Cu Kα
Structure: a structure optimized by DFT (PBE)
Lines closer than 0.1° are merged.

Cell and atoms:
```
data_RbHO
_chemical_formula_sum 'Rb4 H4 O4'
_space_group_name_H-M_alt 'P n m a'
_space_group_IT_number 62
_cell_length_a 6.647
_cell_length_b 4.069
_cell_length_c 8.072
_cell_angle_alpha 90.00
_cell_angle_beta 90.00
_cell_angle_gamma 90.00
loop_
_space_group_symop_operation_xyz
'x,y,z'
'-x,-y,-z'
'-x+1/2,-y,z+1/2'
'x+1/2,y,-z+1/2'
'x+1/2,-y+1/2,-z+1/2'
'-x+1/2,y+1/2,z+1/2'
'-x,y+1/2,-z'
'x,-y+1/2,z'
loop_
_atom_site_label
_atom_site_fract_x
_atom_site_fract_y
_atom_site_fract_z
_atom_site_occupancy
Rb1 0.031 0.250 0.194 1
H1 0.067 0.250 0.538 1
O1 0.207 0.250 0.572 1
```

Main lines, by angle (2θ = 15–90°):
d 4.036, 2θ = 22.02°, I 34.1, (0 0 2)
d 3.633, 2θ = 24.50°, I 100.0, (0 1 1)
d 2.631, 2θ = 34.07°, I 55.5, (1 1 2)
d 2.566, 2θ = 34.97°, I 34.9, (2 0 2)
d 2.494, 2θ = 36.01°, I 39.1, (1 0 3)
d 2.452, 2θ = 36.64°, I 84.6, (2 1 1)

# 5
Simulated powder X-ray diffraction pattern
Compound: RbH4O3
Radiation: Cu Kα
Structure: a structure optimized by DFT (PBE)
Lines closer than 0.1° are merged.

Cell and atoms:
```
data_RbH4O3
_chemical_formula_sum 'Rb16 H64 O48'
_space_group_name_H-M_alt 'F d d 2'
_space_group_IT_number 43
_space_group_name_Hall 'F 2 -2d'
_cell_length_a 10.615
_cell_length_b 14.116
_cell_length_c 10.580
_cell_angle_alpha 90.00
_cell_angle_beta 90.00
_cell_angle_gamma 90.00
loop_
_atom_site_label
_atom_site_fract_x
_atom_site_fract_y
_atom_site_fract_z
_atom_site_occupancy
Rb1 0.001 0.366 0.000 1
H1 0.030 0.206 0.196 1
H2 0.038 0.048 0.203 1
H3 0.049 0.296 0.289 1
H4 0.054 0.458 0.283 1
O1 0.000 0.000 0.263 1
O2 0.000 0.000 0.728 1
O3 0.015 0.250 0.756 1
O4 0.101 0.129 0.103 1
```

Main lines, by angle (2θ = 15–90°):
d 3.985, 2θ = 22.31°, I 31.1, (1 3 1)
d 3.261, 2θ = 27.35°, I 60.2, (3 1 1)
d 2.730, 2θ = 32.81°, I 57.8, (1 3 3)
d 2.645, 2θ = 33.90°, I 24.8, (0 0 4)
d 2.569, 2θ = 34.93°, I 100.0, (2 4 2)
d 1.873, 2θ = 48.61°, I 22.5, (4 0 4)

# 6
Simulated powder X-ray diffraction pattern
Compound: RbHO
Radiation: Cu Kα
Structure: a structure optimized by DFT (PBE)
Lines closer than 0.1° are merged.

Cell and atoms:
```
data_RbHO
_chemical_formula_sum 'Rb2 H2 O2'
_space_group_name_H-M_alt 'P 1 21 1'
_space_group_IT_number 4
_cell_length_a 4.268
_cell_length_b 4.221
_cell_length_c 5.992
_cell_angle_alpha 90.00
_cell_angle_beta 106.58
_cell_angle_gamma 90.00
loop_
_space_group_symop_operation_xyz
'x,y,z'
'-x,y+1/2,-z'
loop_
_atom_site_label
_atom_site_fract_x
_atom_site_fract_y
_atom_site_fract_z
_atom_site_occupancy
Rb1 0.162 0.000 0.284 1
H1 0.439 0.131 0.913 1
O1 0.342 0.986 0.782 1
```

Main lines, by angle (2θ = 15–90°):
d 3.401, 2θ = 26.20°, I 79.7, (0 1 1)
d 2.957, 2θ = 30.23°, I 30.6, (1 0 1)
d 2.937, 2θ = 30.43°, I 95.3, (1 1 0)
d 2.868, 2θ = 31.19°, I 100.0, (0 0 2)
d 2.303, 2θ = 39.12°, I 25.6, (1 1 -2)
d 1.871, 2θ = 48.68°, I 27.6, (1 1 2)